Record 1
Simulated powder diffraction line list
Compound: PmNd8In6
Radiation: a wavelength of 1.5418 Å
Structure: a crystal structure in Alexandria, relaxed with PBE

Atomic structure:
Lattice parameters (Å, degrees): 9.2733 9.2733 19.9539 90.00 90.00 120.00
Space group R-3 (No. 148, hexagonal axes)
Unique sites:
Pm 0.0000 0.0000 0.0000 (multiplicity 3)
Nd 0.0000 0.0000 0.3337 (multiplicity 6)
Nd 0.9998 0.3339 0.1157 (multiplicity 18)
In 0.0001 0.3320 0.9457 (multiplicity 18)

Peak list (8 most intense, 2θ = 10–80°, low angle first)
- d 3.804, intensity 30, hkl 2 -1 3
- d 2.702, intensity 100, hkl 1 1 6
- d 2.677, intensity 93, hkl 3 0 0
- d 1.902, intensity 35, hkl 4 -2 6
- d 1.565, intensity 17, hkl 2 -1 12
- d 1.550, intensity 36, hkl 4 1 6
- d 1.546, intensity 17, hkl 3 3 0
- d 1.199, intensity 15, hkl 7 -2 6

Record 2
Simulated powder diffraction line list
Compound: AsPdSe
Radiation: a wavelength of 1.5418 Å
Structure: a crystal structure in Alexandria, relaxed with PBE

Atomic structure:
Lattice parameters (Å, degrees): 6.1841 6.1841 6.1841 90.00 90.00 90.00
Space group P2_13 (No. 198)
Unique sites:
As 0.1166 0.1166 0.1166 (multiplicity 4)
Pd 0.0067 0.9933 0.4933 (multiplicity 4)
Se 0.1136 0.3864 0.6136 (multiplicity 4)

Peak list (8 most intense, 2θ = 10–80°, low angle first)
- d 3.570, intensity 15, hkl 1 1 1
- d 3.092, intensity 72, hkl 2 0 0
- d 2.766, intensity 70, hkl 2 1 0
- d 2.525, intensity 61, hkl 2 1 1
- d 2.186, intensity 40, hkl 2 2 0
- d 1.865, intensity 100, hkl 3 1 1
- d 1.715, intensity 25, hkl 3 0 2
- d 1.653, intensity 36, hkl 3 2 1

Record 3
Simulated powder diffraction line list
Compound: Ta5Nb4
Radiation: a wavelength of 1.5418 Å
Structure: a crystal structure in Alexandria, relaxed with PBE

Atomic structure:
Lattice parameters (Å, degrees): 4.6999 9.9513 14.0419 90.00 90.00 90.00
Space group Fmmm (No. 69)
Unique sites:
Ta 0.0000 0.0000 0.0000 (multiplicity 4)
Ta 0.0000 0.0000 0.3311 (multiplicity 8)
Ta 0.0000 0.1647 0.5000 (multiplicity 8)
Nb 0.0000 0.1687 0.1654 (multiplicity 16)

Peak list (8 most intense, 2θ = 10–80°, low angle first)
- d 7.021, intensity 4, hkl 0 0 2
- d 4.976, intensity 2, hkl 0 2 0
- d 3.146, intensity 3, hkl 1 1 3
- d 2.346, intensity 100, hkl 2 0 0
- d 2.340, intensity 20, hkl 0 0 6
- d 1.658, intensity 21, hkl 2 0 6
- d 1.356, intensity 21, hkl 3 3 3
- d 1.353, intensity 21, hkl 1 3 9